For TbDy2Sc5, a cell relaxed with PBE gives the theoretical powder X-ray diffraction pattern in this record (Cu Ka).
Peak positions follow from Bragg's law for the DFT cell and can differ from measured ones.

Most intense lines, 2θ from 5° to 70°, by angle:
- 2θ 14.91, rel. 113
- 2θ 22.37, rel. 253
- 2θ 30.10, rel. 260
- 2θ 33.51, rel. 239
- 2θ 34.56, rel. 1000
- 2θ 45.66, rel. 160
- 2θ 53.46, rel. 184
- 2θ 60.59, rel. 186
- 2θ 64.59, rel. 203
- 2θ 65.24, rel. 150

a b c (Å): 7.9941 6.8582 6.3506
angles (deg): 74.38 55.71 49.91
Positions (direct):
Tb (0.0000, 0.0000, 0.0000)
Dy (0.4249, 0.9149, 0.0851)
Dy (0.9149, 0.4249, 0.5751)
Sc (0.0066, 0.5023, 0.9934)
Sc (0.4163, 0.4163, 0.0837)
Sc (0.4985, 0.4985, 0.5015)
Sc (0.5023, 0.0066, 0.4977)
Sc (0.9163, 0.9163, 0.5837)